Theoretical PXRD pattern
Compound: BaVOF4
Radiation: Cu Ka
Structure: a cell relaxed with PBE+U
Kinematic intensities with the Lorentz-polarization factor, no thermal factor.

Structural model:
```
data_BaVOF4
_symmetry_space_group_name_H-M 'F d d 2'
_symmetry_Int_Tables_number 43
_symmetry_space_group_name_Hall 'F 2 -2d'
_cell_length_a 8.011
_cell_length_b 28.195
_cell_length_c 7.534
_cell_angle_alpha 90.00
_cell_angle_beta 90.00
_cell_angle_gamma 90.00
loop_
_atom_site_label
_atom_site_type_symbol
_atom_site_fract_x
_atom_site_fract_y
_atom_site_fract_z
Ba1 Ba 0.013 0.195 0.000
V1 V 0.005 0.173 0.500
O1 O 0.080 0.453 0.813
F1 F 0.026 0.119 0.675
F2 F 0.081 0.281 0.832
F3 F 0.092 0.138 0.298
F4 F 0.096 0.049 0.916
```

Largest 10 diffraction maxima, in order of falling intensity, 10 to 80 degrees two-theta:
- 2θ = 23.08°, 3.853 Å, intensity 100, hkl 2 2 0
- 2θ = 24.46°, 3.639 Å, intensity 81, hkl 0 2 2
- 2θ = 41.72°, 2.165 Å, intensity 77, hkl 2 8 2
- 2θ = 32.63°, 2.744 Å, intensity 63, hkl 2 0 2
- 2θ = 25.27°, 3.524 Å, intensity 58, hkl 0 8 0
- 2θ = 27.47°, 3.247 Å, intensity 40, hkl 1 7 1
- 2θ = 30.41°, 2.939 Å, intensity 38, hkl 0 6 2
- 2θ = 39.20°, 2.298 Å, intensity 37, hkl 3 5 1
- 2θ = 29.30°, 3.048 Å, intensity 36, hkl 2 6 0
- 2θ = 22.61°, 3.933 Å, intensity 33, hkl 1 5 1